1.
# Tb3Pr2Y2
Theoretical powder X-ray diffraction pattern, Cu Kα (λ = 1.5418 Å). Input: a structure optimized by DFT (GGA-PBE).
Neutral-atom scattering factors, no anomalous dispersion.

Main lines, by angle (2θ = 10–80°):
2θ = 25.85°, intensity 39.2
2θ = 30.06°, intensity 83.9
2θ = 30.39°, intensity 92.6
2θ = 30.55°, intensity 88.3
2θ = 32.71°, intensity 100.0
2θ = 36.23°, intensity 50.6

Cell: 16.8079 3.5402 8.8214 Å, 90.00 116.10 90.00°
Sites, in units of the cell vectors:
Tb 0.0000 0.0000 0.0000
Tb 0.2206 0.0000 0.1471
Tb 0.2794 0.5000 0.8529
Tb 0.5000 0.5000 0.0000
Tb 0.7206 0.5000 0.1471
Tb 0.7794 0.0000 0.8529
Pr 0.0797 0.0000 0.7025
Pr 0.4203 0.5000 0.2975
Pr 0.5797 0.5000 0.7025
Pr 0.9203 0.0000 0.2975
Y 0.1395 0.5000 0.4062
Y 0.3605 0.0000 0.5938
Y 0.6395 0.0000 0.4062
Y 0.8605 0.5000 0.5938

---

2.
# Cs3P2H8
Theoretical powder X-ray diffraction pattern, Cu Kα (λ = 1.5418 Å). Input: a structure optimized by DFT (GGA-PBE).
Neutral-atom scattering factors, no anomalous dispersion.

Main lines, by angle (2θ = 10–80°):
2θ = 18.58°, intensity 32.5
2θ = 22.26°, intensity 42.1
2θ = 23.12°, intensity 100.0
2θ = 29.38°, intensity 25.6
2θ = 36.17°, intensity 38.4
2θ = 40.96°, intensity 27.8

Cell: 14.6136 14.6136 14.6136 Å, 19.57 19.57 19.57°
Sites, in units of the cell vectors:
Cs 0.0000 0.0000 0.0000
Cs 0.2191 0.2191 0.2191
Cs 0.7809 0.7809 0.7809
P 0.3884 0.3884 0.3884
P 0.6116 0.6116 0.6116
H 0.2655 0.2655 0.6888
H 0.2655 0.6888 0.2655
H 0.2882 0.2882 0.2882
H 0.3112 0.7345 0.7345
H 0.6888 0.2655 0.2655
H 0.7118 0.7118 0.7118
H 0.7345 0.3112 0.7345
H 0.7345 0.7345 0.3112

---

3.
# Pr9Nd2Ho
Theoretical powder X-ray diffraction pattern, Cu Kα (λ = 1.5418 Å). Input: a structure optimized by DFT (GGA-PBE).
Neutral-atom scattering factors, no anomalous dispersion.

Main lines, by angle (2θ = 10–80°):
2θ = 29.64°, intensity 100.0
2θ = 34.35°, intensity 50.7
2θ = 49.37°, intensity 36.4
2θ = 58.65°, intensity 43.4
2θ = 61.53°, intensity 12.5
2θ = 72.40°, intensity 5.8

Cell: 5.2214 5.2214 15.6601 Å, 90.00 90.00 90.00°
Sites, in units of the cell vectors:
Pr 0.0000 0.0000 0.0000
Pr 0.0000 0.0000 0.3321
Pr 0.0000 0.0000 0.6679
Pr 0.0000 0.5000 0.1646
Pr 0.0000 0.5000 0.5000
Pr 0.0000 0.5000 0.8354
Pr 0.5000 0.0000 0.1646
Pr 0.5000 0.0000 0.5000
Pr 0.5000 0.0000 0.8354
Nd 0.5000 0.5000 0.3320
Nd 0.5000 0.5000 0.6680
Ho 0.5000 0.5000 0.0000

---

4.
# Nd6PdPt2Br3
Theoretical powder X-ray diffraction pattern, Cu Kα (λ = 1.5418 Å). Input: a structure optimized by DFT (GGA-PBE).
Neutral-atom scattering factors, no anomalous dispersion.

Main lines, by angle (2θ = 10–80°):
2θ = 11.43°, intensity 31.5
2θ = 28.83°, intensity 100.0
2θ = 36.55°, intensity 15.8
2θ = 39.60°, intensity 20.8
2θ = 42.78°, intensity 37.7
2θ = 52.41°, intensity 18.9

Cell: 10.0830 10.0830 9.1480 Å, 109.13 109.13 24.23°
Sites, in units of the cell vectors:
Nd 0.0120 0.0120 0.2250
Nd 0.3212 0.3212 0.4456
Nd 0.3444 0.3444 0.8887
Nd 0.6556 0.6556 0.1113
Nd 0.6788 0.6788 0.5544
Nd 0.9880 0.9880 0.7750
Pd 0.5000 0.5000 0.0000
Pt 0.1659 0.1659 0.3315
Pt 0.8341 0.8341 0.6685
Br 0.1664 0.1664 0.8323
Br 0.5000 0.5000 0.5000
Br 0.8336 0.8336 0.1677

---

5.
# Sm3MgBiRu4O14
Theoretical powder X-ray diffraction pattern, Cu Kα (λ = 1.5418 Å). Input: a structure optimized by DFT (GGA-PBE).
Neutral-atom scattering factors, no anomalous dispersion.

Main lines, by angle (2θ = 10–80°):
2θ = 29.17°, intensity 100.0
2θ = 29.37°, intensity 49.8
2θ = 29.59°, intensity 47.6
2θ = 33.99°, intensity 72.0
2θ = 48.71°, intensity 33.6
2θ = 48.99°, intensity 30.4

Cell: 7.4387 7.4387 7.4067 Å, 119.51 119.51 60.75°
Sites, in units of the cell vectors:
Sm 0.0000 0.0000 0.0000
Sm 0.5107 0.9792 0.0191
Sm 0.9792 0.5107 0.0191
Mg 0.2578 0.2578 0.7313
Bi 0.9793 0.9793 0.4881
Ru 0.5073 0.5073 0.4948
Ru 0.5079 0.5079 0.0119
Ru 0.5075 0.9881 0.4889
Ru 0.9881 0.5075 0.4889
O 0.1458 0.1458 0.8679
O 0.1613 0.5820 0.8376
O 0.1628 0.5903 0.4125
O 0.1661 0.1661 0.4073
O 0.4079 0.8362 0.1599
O 0.4266 0.4266 0.1732
O 0.4285 0.8275 0.5737
O 0.5820 0.1613 0.8376
O 0.5903 0.1628 0.4125
O 0.5907 0.5907 0.8390
O 0.8275 0.4285 0.5737
O 0.8362 0.4079 0.1599
O 0.8358 0.8358 0.5860
O 0.8755 0.8755 0.1173

---

6.
# CsTmSe2O8
Theoretical powder X-ray diffraction pattern, Cu Kα (λ = 1.5418 Å). Input: a structure optimized by DFT (GGA-PBE).
Neutral-atom scattering factors, no anomalous dispersion.

Main lines, by angle (2θ = 10–80°):
2θ = 18.61°, intensity 37.5
2θ = 21.02°, intensity 44.3
2θ = 27.04°, intensity 100.0
2θ = 32.53°, intensity 46.0
2θ = 42.80°, intensity 29.4
2θ = 54.77°, intensity 27.3

Cell: 5.5045 5.5045 9.1341 Å, 90.00 90.00 120.00°
Sites, in units of the cell vectors:
Cs 0.0000 0.0000 0.0000
Tm 0.0000 0.0000 0.5000
Se 0.3333 0.6667 0.7104
Se 0.6667 0.3333 0.2896
O 0.0856 0.3535 0.6472
O 0.2679 0.9144 0.6472
O 0.3333 0.6667 0.8905
O 0.3535 0.2679 0.3528
O 0.6465 0.7321 0.6472
O 0.6667 0.3333 0.1095
O 0.7321 0.0856 0.3528
O 0.9144 0.6465 0.3528

---

- Number 5 is which compound?
  Sm3MgBiRu4O14